Entry 1:
Computed X-ray powder pattern
Compound: Gd11Ir3Br15
Radiation: a wavelength of 1.5418 Å
Structure: a cell relaxed with GGA-PBE
Neutral-atom scattering factors, no anomalous dispersion.

Cell and atoms:
a b c (Å): 12.8447 12.8447 12.8394
angles (deg): 90.00 90.00 120.00
Positions (direct):
Gd (0.0397, 0.3792, 0.1075)
Gd (0.0397, 0.3792, 0.3925)
Gd (0.0818, 0.6747, 0.2500)
Gd (0.3253, 0.4071, 0.2500)
Gd (0.3333, 0.6667, 0.0805)
Gd (0.3333, 0.6667, 0.4195)
Gd (0.3394, 0.9603, 0.1075)
Gd (0.3394, 0.9603, 0.3925)
Gd (0.3792, 0.3394, 0.6075)
Gd (0.3792, 0.3394, 0.8925)
Gd (0.4071, 0.0818, 0.7500)
Gd (0.5929, 0.9182, 0.2500)
Gd (0.6208, 0.6606, 0.1075)
Gd (0.6208, 0.6606, 0.3925)
Gd (0.6606, 0.0397, 0.6075)
Gd (0.6606, 0.0397, 0.8925)
Gd (0.6667, 0.3333, 0.5805)
Gd (0.6667, 0.3333, 0.9195)
Gd (0.6747, 0.5929, 0.7500)
Gd (0.9182, 0.3253, 0.7500)
Gd (0.9603, 0.6208, 0.6075)
Gd (0.9603, 0.6208, 0.8925)
Ir (0.1951, 0.5343, 0.2500)
Ir (0.3392, 0.8049, 0.2500)
Ir (0.4657, 0.6608, 0.2500)
Ir (0.5343, 0.3392, 0.7500)
Ir (0.6608, 0.1951, 0.7500)
Ir (0.8049, 0.4657, 0.7500)
Br (0.0848, 0.8085, 0.0656)
Br (0.0848, 0.8085, 0.4344)
Br (0.1170, 0.8050, 0.7500)
Br (0.1302, 0.5271, 0.5885)
Br (0.1302, 0.5271, 0.9115)
Br (0.1915, 0.2763, 0.0656)
Br (0.1915, 0.2763, 0.4344)
Br (0.1950, 0.3120, 0.7500)
Br (0.2763, 0.0848, 0.5656)
Br (0.2763, 0.0848, 0.9344)
Br (0.3120, 0.1170, 0.2500)
Br (0.3969, 0.8698, 0.5885)
Br (0.3969, 0.8698, 0.9115)
Br (0.4729, 0.6031, 0.5885)
Br (0.4729, 0.6031, 0.9115)
Br (0.5271, 0.3969, 0.0885)
Br (0.5271, 0.3969, 0.4115)
Br (0.6031, 0.1302, 0.0885)
Br (0.6031, 0.1302, 0.4115)
Br (0.6880, 0.8830, 0.7500)
Br (0.7237, 0.9152, 0.0656)
Br (0.7237, 0.9152, 0.4344)
Br (0.8050, 0.6880, 0.2500)
Br (0.8085, 0.7237, 0.5656)
Br (0.8085, 0.7237, 0.9344)
Br (0.8698, 0.4729, 0.0885)
Br (0.8698, 0.4729, 0.4115)
Br (0.8830, 0.1950, 0.2500)
Br (0.9152, 0.1915, 0.5656)
Br (0.9152, 0.1915, 0.9344)

Most intense lines, 2θ from 10° to 90°, in order of falling intensity:
- 2θ = 10.52°, d = 8.407 Å, I = 100.0
- 2θ = 29.79°, d = 2.999 Å, I = 49.7
- 2θ = 34.93°, d = 2.569 Å, I = 32.0
- 2θ = 35.88°, d = 2.503 Å, I = 30.9
- 2θ = 41.18°, d = 2.192 Å, I = 22.6
- 2θ = 37.94°, d = 2.371 Å, I = 20.8

=====

Entry 2:
Computed X-ray powder pattern
Compound: LaGdSbBr2
Radiation: a wavelength of 1.5418 Å
Structure: a cell relaxed with GGA-PBE
Neutral-atom scattering factors, no anomalous dispersion.

Cell and atoms:
a b c (Å): 4.3598 4.3598 11.0759
angles (deg): 90.00 90.00 120.00
Positions (direct):
La (0.0000, 0.0000, 0.0000)
Gd (0.6667, 0.3333, 0.6755)
Sb (0.3333, 0.6667, 0.8291)
Br (0.0000, 0.0000, 0.5237)
Br (0.6667, 0.3333, 0.1632)

Most intense lines, 2θ from 10° to 90°, in order of falling intensity:
- 2θ = 28.61°, d = 3.120 Å, I = 100.0
- 2θ = 40.40°, d = 2.233 Å, I = 38.8
- 2θ = 41.42°, d = 2.180 Å, I = 36.0
- 2θ = 51.12°, d = 1.787 Å, I = 19.7
- 2θ = 67.82°, d = 1.382 Å, I = 16.7
- 2θ = 66.36°, d = 1.409 Å, I = 15.5

=====

Entry 3:
Computed X-ray powder pattern
Compound: Gd4PbBrN2
Radiation: a wavelength of 1.5418 Å
Structure: a cell relaxed with GGA-PBE
Neutral-atom scattering factors, no anomalous dispersion.

Cell and atoms:
a b c (Å): 3.5930 3.5930 15.0068
angles (deg): 90.00 90.00 120.00
Positions (direct):
Gd (0.0000, 0.0000, 0.1507)
Gd (0.0000, 0.0000, 0.8493)
Gd (0.6667, 0.3333, 0.3231)
Gd (0.6667, 0.3333, 0.6769)
Pb (0.0000, 0.0000, 0.5000)
Br (0.6667, 0.3333, 0.0000)
N (0.3333, 0.6667, 0.2358)
N (0.3333, 0.6667, 0.7642)

Most intense lines, 2θ from 10° to 90°, in order of falling intensity:
- 2θ = 33.93°, d = 2.642 Å, I = 100.0
- 2θ = 28.69°, d = 3.112 Å, I = 24.9
- 2θ = 50.82°, d = 1.797 Å, I = 23.4
- 2θ = 63.79°, d = 1.459 Å, I = 18.1
- 2θ = 62.52°, d = 1.486 Å, I = 17.3
- 2θ = 35.91°, d = 2.501 Å, I = 15.7

=====

Entry 4:
Computed X-ray powder pattern
Compound: TbGdBr2O2
Radiation: a wavelength of 1.5418 Å
Structure: a cell relaxed with GGA-PBE
Neutral-atom scattering factors, no anomalous dispersion.

Cell and atoms:
a b c (Å): 3.8572 3.8572 8.4260
angles (deg): 90.00 90.00 90.00
Positions (direct):
Tb (0.0000, 0.0000, 0.0000)
Gd (0.5000, 0.5000, 0.2744)
Br (0.0000, 0.0000, 0.4695)
Br (0.5000, 0.5000, 0.8048)
O (0.0000, 0.5000, 0.1360)
O (0.5000, 0.0000, 0.1360)

Most intense lines, 2θ from 10° to 90°, in order of falling intensity:
- 2θ = 31.45°, d = 2.845 Å, I = 100.0
- 2θ = 32.84°, d = 2.727 Å, I = 43.1
- 2θ = 10.50°, d = 8.426 Å, I = 39.4
- 2θ = 57.75°, d = 1.596 Å, I = 35.1
- 2θ = 47.12°, d = 1.929 Å, I = 20.5
- 2θ = 55.09°, d = 1.667 Å, I = 16.4

=====

Entry 5:
Computed X-ray powder pattern
Compound: GdYBr2O
Radiation: a wavelength of 1.5418 Å
Structure: a cell relaxed with GGA-PBE
Neutral-atom scattering factors, no anomalous dispersion.

Cell and atoms:
a b c (Å): 3.6847 3.6847 10.1955
angles (deg): 90.00 90.00 120.00
Positions (direct):
Gd (0.0000, 0.0000, 0.0000)
Y (0.3333, 0.6667, 0.2436)
Br (0.0000, 0.0000, 0.4324)
Br (0.3333, 0.6667, 0.8087)
O (0.6667, 0.3333, 0.1277)

Most intense lines, 2θ from 10° to 90°, in order of falling intensity:
- 2θ = 33.12°, d = 2.705 Å, I = 100.0
- 2θ = 38.71°, d = 2.326 Å, I = 30.8
- 2θ = 27.96°, d = 3.191 Å, I = 28.8
- 2θ = 49.47°, d = 1.842 Å, I = 27.6
- 2θ = 60.83°, d = 1.523 Å, I = 16.9
- 2θ = 45.55°, d = 1.992 Å, I = 14.5

=====

Entry 6:
Computed X-ray powder pattern
Compound: GdYPBr2
Radiation: a wavelength of 1.5418 Å
Structure: a cell relaxed with GGA-PBE
Neutral-atom scattering factors, no anomalous dispersion.

Cell and atoms:
a b c (Å): 4.0246 4.0246 10.8814
angles (deg): 90.00 90.00 120.00
Positions (direct):
Gd (0.0000, 0.0000, 0.0000)
Y (0.3333, 0.6667, 0.2814)
P (0.6667, 0.3333, 0.1425)
Br (0.0000, 0.0000, 0.4490)
Br (0.3333, 0.6667, 0.8303)

Most intense lines, 2θ from 10° to 90°, in order of falling intensity:
- 2θ = 30.46°, d = 2.935 Å, I = 100.0
- 2θ = 45.05°, d = 2.012 Å, I = 30.1
- 2θ = 42.14°, d = 2.144 Å, I = 26.9
- 2θ = 25.56°, d = 3.485 Å, I = 24.1
- 2θ = 35.73°, d = 2.513 Å, I = 20.2
- 2θ = 55.36°, d = 1.660 Å, I = 18.0

=====

Entry 7:
Computed X-ray powder pattern
Compound: Gd3PdBr2
Radiation: a wavelength of 1.5418 Å
Structure: a cell relaxed with GGA-PBE
Neutral-atom scattering factors, no anomalous dispersion.

Cell and atoms:
a b c (Å): 3.9175 3.9175 10.5385
angles (deg): 90.00 90.00 90.00
Positions (direct):
Gd (0.0000, 0.0000, 0.0000)
Gd (0.0000, 0.5000, 0.7375)
Gd (0.5000, 0.0000, 0.2625)
Pd (0.5000, 0.5000, 0.0000)
Br (0.0000, 0.5000, 0.3825)
Br (0.5000, 0.0000, 0.6175)

Most intense lines, 2θ from 10° to 90°, in order of falling intensity:
- 2θ = 36.65°, d = 2.452 Å, I = 100.0
- 2θ = 34.29°, d = 2.615 Å, I = 73.9
- 2θ = 33.45°, d = 2.679 Å, I = 70.0
- 2θ = 46.35°, d = 1.959 Å, I = 45.4
- 2θ = 25.35°, d = 3.513 Å, I = 40.6
- 2θ = 24.24°, d = 3.672 Å, I = 38.8

=====

Entry 8:
Computed X-ray powder pattern
Compound: GdPuBr6
Radiation: a wavelength of 1.5418 Å
Structure: a cell relaxed with GGA-PBE
Neutral-atom scattering factors, no anomalous dispersion.

Cell and atoms:
a b c (Å): 7.3753 7.3753 7.1886
angles (deg): 100.18 100.18 119.89
Positions (direct):
Gd (0.0000, 0.0000, 0.0000)
Pu (0.3327, 0.6673, 0.0000)
Br (0.1035, 0.4101, 0.2366)
Br (0.2242, 0.2473, 0.7635)
Br (0.3866, 0.0588, 0.2384)
Br (0.5899, 0.8965, 0.7634)
Br (0.7527, 0.7758, 0.2365)
Br (0.9412, 0.6134, 0.7616)

Most intense lines, 2θ from 10° to 90°, in order of falling intensity:
- 2θ = 30.10°, d = 2.969 Å, I = 100.0
- 2θ = 13.16°, d = 6.726 Å, I = 80.8
- 2θ = 42.43°, d = 2.130 Å, I = 53.3
- 2θ = 29.82°, d = 2.996 Å, I = 48.9
- 2θ = 14.57°, d = 6.078 Å, I = 40.6
- 2θ = 43.35°, d = 2.087 Å, I = 34.4

=====

Entry 9:
Computed X-ray powder pattern
Compound: Gd4SiBr6
Radiation: a wavelength of 1.5418 Å
Structure: a cell relaxed with GGA-PBE
Neutral-atom scattering factors, no anomalous dispersion.

Cell and atoms:
a b c (Å): 13.3182 14.1081 4.0919
angles (deg): 90.00 90.00 90.00
Positions (direct):
Gd (0.1179, 0.1600, 0.0000)
Gd (0.1193, 0.9219, 0.5000)
Gd (0.3807, 0.4219, 0.5000)
Gd (0.3821, 0.6600, 0.0000)
Gd (0.6179, 0.3400, 0.0000)
Gd (0.6193, 0.5781, 0.5000)
Gd (0.8807, 0.0781, 0.5000)
Gd (0.8821, 0.8400, 0.0000)
Si (0.0000, 0.0000, 0.0000)
Si (0.5000, 0.5000, 0.0000)
Br (0.0002, 0.2572, 0.5000)
Br (0.9998, 0.7428, 0.5000)
Br (0.2418, 0.3395, 0.0000)
Br (0.2444, 0.5900, 0.5000)
Br (0.2556, 0.0900, 0.5000)
Br (0.2582, 0.8395, 0.0000)
Br (0.5002, 0.2428, 0.5000)
Br (0.4998, 0.7572, 0.5000)
Br (0.7418, 0.1605, 0.0000)
Br (0.7444, 0.9100, 0.5000)
Br (0.7556, 0.4100, 0.5000)
Br (0.7582, 0.6605, 0.0000)

Most intense lines, 2θ from 10° to 90°, in order of falling intensity:
- 2θ = 32.37°, d = 2.766 Å, I = 100.0
- 2θ = 26.33°, d = 3.385 Å, I = 41.6
- 2θ = 44.44°, d = 2.039 Å, I = 34.2
- 2θ = 28.59°, d = 3.122 Å, I = 31.1
- 2θ = 42.49°, d = 2.127 Å, I = 30.8
- 2θ = 44.27°, d = 2.046 Å, I = 18.3

=====

Entry 10:
Computed X-ray powder pattern
Compound: Zn2GeBrN4
Radiation: a wavelength of 1.5418 Å
Structure: a cell relaxed with GGA-PBE
Neutral-atom scattering factors, no anomalous dispersion.

Cell and atoms:
a b c (Å): 5.8141 5.8141 5.8141
angles (deg): 132.56 132.56 69.35
Positions (direct):
Zn (0.0000, 0.0000, 0.0000)
Zn (0.7500, 0.2500, 0.5000)
Ge (0.5000, 0.5000, 0.0000)
Br (0.2500, 0.7500, 0.5000)
N (0.1277, 0.6008, 0.9436)
N (0.3992, 0.3428, 0.5269)
N (0.6572, 0.1842, 0.0564)
N (0.8158, 0.8723, 0.4731)

Most intense lines, 2θ from 10° to 90°, in order of falling intensity:
- 2θ = 32.93°, d = 2.720 Å, I = 100.0
- 2θ = 54.92°, d = 1.672 Å, I = 27.4
- 2θ = 66.12°, d = 1.413 Å, I = 24.7
- 2θ = 38.49°, d = 2.339 Å, I = 22.2
- 2θ = 55.57°, d = 1.654 Å, I = 13.2
- 2θ = 64.95°, d = 1.436 Å, I = 13.0

=====

Entry 11:
Computed X-ray powder pattern
Compound: PrSmGeBr2
Radiation: a wavelength of 1.5418 Å
Structure: a cell relaxed with GGA-PBE
Neutral-atom scattering factors, no anomalous dispersion.

Cell and atoms:
a b c (Å): 4.2886 4.2886 10.2673
angles (deg): 90.00 90.00 120.00
Positions (direct):
Pr (0.0000, 0.0000, 0.0000)
Sm (0.3333, 0.6667, 0.6740)
Ge (0.6667, 0.3333, 0.8338)
Br (0.0000, 0.0000, 0.5041)
Br (0.3333, 0.6667, 0.1774)

Most intense lines, 2θ from 10° to 90°, in order of falling intensity:
- 2θ = 29.69°, d = 3.009 Å, I = 100.0
- 2θ = 42.14°, d = 2.144 Å, I = 34.8
- 2θ = 42.83°, d = 2.112 Å, I = 34.5
- 2θ = 52.39°, d = 1.746 Å, I = 20.1
- 2θ = 69.41°, d = 1.354 Å, I = 17.2
- 2θ = 70.39°, d = 1.338 Å, I = 14.7

=====

Entry 12:
Computed X-ray powder pattern
Compound: TbYGeBr2
Radiation: a wavelength of 1.5418 Å
Structure: a cell relaxed with GGA-PBE
Neutral-atom scattering factors, no anomalous dispersion.

Cell and atoms:
a b c (Å): 4.1533 4.1533 10.1569
angles (deg): 90.00 90.00 120.00
Positions (direct):
Tb (0.0000, 0.0000, 0.0000)
Y (0.6667, 0.3333, 0.3165)
Ge (0.3333, 0.6667, 0.1584)
Br (0.0000, 0.0000, 0.4897)
Br (0.6667, 0.3333, 0.8260)

Most intense lines, 2θ from 10° to 90°, in order of falling intensity:
- 2θ = 30.45°, d = 2.935 Å, I = 100.0
- 2θ = 43.61°, d = 2.076 Å, I = 67.8
- 2θ = 71.93°, d = 1.313 Å, I = 30.5
- 2θ = 54.12°, d = 1.695 Å, I = 24.9
- 2θ = 80.05°, d = 1.199 Å, I = 17.0
- 2θ = 24.75°, d = 3.597 Å, I = 13.2